1.
Simulated powder diffraction line list
Compound: Hg2BrCl8
Radiation: CuKα
Structure: a DFT-relaxed cell (PBE, Alexandria)

Largest 10 diffraction maxima, low angle first, 2θ from 10° to 90°:
(1 0 0), 2θ = 17.1°, d 5.172, rel. 23.3; (0 0 2), 2θ = 18.5°, d 4.797, rel. 52.0; (1 0 -1), 2θ = 19.5°, d 4.553, rel. 100.0; (0 2 -1), 2θ = 25.6°, d 3.483, rel. 30.7; (0 2 -2), 2θ = 29.9°, d 2.986, rel. 29.4; (2 0 0), 2θ = 34.7°, d 2.586, rel. 48.6; (1 2 2), 2θ = 36.0°, d 2.496, rel. 24.2; (0 0 4), 2θ = 37.5°, d 2.399, rel. 16.5; (2 0 -2), 2θ = 39.6°, d 2.276, rel. 15.4; (2 -2 1), 2θ = 43.6°, d 2.076, rel. 14.6

Crystal structure
```
data_Hg2BrCl8
_cell_length_a 5.1723
_cell_length_b 7.3434
_cell_length_c 9.6059
_cell_angle_alpha 92.78
_cell_angle_beta 90.02
_cell_angle_gamma 90.06
_symmetry_space_group_name_H-M 'P -1'
_symmetry_Int_Tables_number 2
_symmetry_space_group_name_Hall '-P 1'
loop_
_atom_site_label
_atom_site_type_symbol
_atom_site_fract_x
_atom_site_fract_y
_atom_site_fract_z
Hg1 Hg 0.0015 0.2494 0.4991
Br1 Br 0.5000 0.0000 0.0000
Cl1 Cl 0.0008 0.0531 0.2960
Cl2 Cl 0.0017 0.4488 0.7009
Cl3 Cl 0.4988 0.7476 0.4839
Cl4 Cl 0.5001 0.3322 0.0020
```

***

2.
Simulated powder diffraction line list
Compound: Hg3BrCl5
Radiation: CuKα
Structure: a DFT-relaxed cell (PBE, Alexandria)

Largest 10 diffraction maxima, low angle first, 2θ from 10° to 90°:
(1 1 0), 2θ = 15.1°, d 5.885, rel. 32.9; (1 0 -1), 2θ = 17.7°, d 5.009, rel. 37.2; (1 1 2), 2θ = 18.8°, d 4.731, rel. 100.0; (1 1 -1), 2θ = 21.2°, d 4.185, rel. 20.0; (0 2 2), 2θ = 21.7°, d 4.101, rel. 38.8; (-1 2 1), 2θ = 26.1°, d 3.411, rel. 47.4; (0 2 -1), 2θ = 26.3°, d 3.391, rel. 26.6; (0 0 3), 2θ = 29.4°, d 3.040, rel. 19.6; (2 0 3), 2θ = 36.4°, d 2.471, rel. 19.1; (1 -1 3), 2θ = 36.6°, d 2.456, rel. 27.4

Crystal structure
```
data_Hg3BrCl5
_cell_length_a 7.1201
_cell_length_b 9.9492
_cell_length_c 10.4628
_cell_angle_alpha 62.20
_cell_angle_beta 73.62
_cell_angle_gamma 72.65
_symmetry_space_group_name_H-M 'P -1'
_symmetry_Int_Tables_number 2
_symmetry_space_group_name_Hall '-P 1'
loop_
_atom_site_label
_atom_site_type_symbol
_atom_site_fract_x
_atom_site_fract_y
_atom_site_fract_z
Hg1 Hg 0.0000 0.0000 0.0000
Hg2 Hg 0.1012 0.7609 0.6101
Hg3 Hg 0.3397 0.3053 0.6848
Hg4 Hg 0.5000 0.5000 0.0000
Br1 Br 0.3601 0.7689 0.8471
Cl1 Cl 0.0323 0.4513 0.2108
Cl2 Cl 0.1212 0.1917 0.6545
Cl3 Cl 0.2355 0.1094 0.0159
Cl4 Cl 0.2704 0.9487 0.4209
Cl5 Cl 0.4382 0.5664 0.3102
```